1.
Theoretical X-ray diffraction stick pattern of SrCaTiMnO6 for copper Kα, from a cell relaxed with PBE+U.
No peak broadening, texture or thermal motion is included.

Atomic structure:
Lattice parameters (Å, degrees): 5.468 5.454 7.704 90.00 90.05 90.00
Space group P2_1 (No. 4)
Asymmetric unit:
Sr 0.246 0.000 0.001 (multiplicity 2)
Ca 0.253 0.969 0.500 (multiplicity 2)
Ti 0.248 0.488 0.745 (multiplicity 2)
Mn 0.249 0.488 0.254 (multiplicity 2)
O 0.017 0.760 0.771 (multiplicity 2)
O 0.021 0.754 0.230 (multiplicity 2)
O 0.187 0.497 0.497 (multiplicity 2)
O 0.295 0.486 0.003 (multiplicity 2)
O 0.477 0.221 0.285 (multiplicity 2)
O 0.484 0.216 0.714 (multiplicity 2)

Largest 10 diffraction maxima, by intensity, 2θ from 15° to 90°:
d (Å), I/Imax, (hkl)
2.728, 100, 1 1 2
1.931, 28, 2 2 0
1.574, 25, 0 2 4
1.364, 18, 0 4 0
1.577, 14, 3 1 2
1.926, 14, 0 0 4
2.227, 12, 0 2 2
3.452, 7, 1 1 1
1.218, 5, 1 1 6
1.220, 5, 3 3 2

---

2.
Theoretical X-ray diffraction stick pattern of SrCa7TiMn7O20 for copper Kα, from a cell relaxed with PBE+U.
No peak broadening, texture or thermal motion is included.

Atomic structure:
Lattice parameters (Å, degrees): 11.011 11.123 7.704 90.00 91.57 90.00
Space group Cm (No. 8)
Asymmetric unit:
Sr 0.000 0.000 0.000 (multiplicity 2)
Ca 0.009 0.500 0.018 (multiplicity 2)
Ca 0.015 0.500 0.465 (multiplicity 2)
Ca 0.254 0.260 0.015 (multiplicity 4)
Ca 0.255 0.265 0.463 (multiplicity 4)
Ca 0.477 0.500 0.455 (multiplicity 2)
Ti 0.252 0.000 0.750 (multiplicity 2)
Mn 0.005 0.248 0.752 (multiplicity 4)
Mn 0.245 0.500 0.744 (multiplicity 2)
Mn 0.247 0.500 0.244 (multiplicity 2)
Mn 0.251 0.000 0.264 (multiplicity 2)
Mn 0.497 0.247 0.243 (multiplicity 4)
O 0.118 0.384 0.788 (multiplicity 4)
O 0.125 0.124 0.261 (multiplicity 4)
O 0.127 0.378 0.224 (multiplicity 4)
O 0.164 0.129 0.801 (multiplicity 4)
O 0.242 0.500 0.494 (multiplicity 2)
O 0.307 0.000 0.535 (multiplicity 2)
O 0.369 0.124 0.228 (multiplicity 4)
O 0.370 0.379 0.240 (multiplicity 4)
O 0.371 0.374 0.755 (multiplicity 4)
O 0.477 0.244 0.994 (multiplicity 4)
O 0.494 0.239 0.501 (multiplicity 4)

Largest 10 diffraction maxima, by intensity, 2θ from 15° to 90°:
d (Å), I/Imax, (hkl)
2.771, 100, 2 2 -2
2.718, 96, 2 2 2
1.956, 79, 4 4 0
2.781, 47, 0 4 0
2.752, 45, 4 0 0
1.603, 36, 6 2 -2
1.925, 32, 0 0 4
1.386, 19, 4 4 -4
1.572, 17, 6 2 2
1.593, 17, 2 6 2

---

3.
Theoretical X-ray diffraction stick pattern of Sr3Ca5TiMn7O24 for copper Kα, from a cell relaxed with PBE+U.
No peak broadening, texture or thermal motion is included.

Atomic structure:
Lattice parameters (Å, degrees): 10.872 10.875 7.685 90.00 90.01 90.00
Space group Cm (No. 8)
Asymmetric unit:
Sr 0.000 0.000 0.000 (multiplicity 2)
Sr 0.248 0.248 0.000 (multiplicity 4)
Ca 0.001 0.000 0.505 (multiplicity 2)
Ca 0.248 0.247 0.505 (multiplicity 4)
Ca 0.496 0.000 0.505 (multiplicity 2)
Ca 0.496 0.000 0.999 (multiplicity 2)
Ti 0.247 0.500 0.257 (multiplicity 2)
Mn 0.247 0.500 0.751 (multiplicity 2)
Mn 0.249 0.000 0.254 (multiplicity 2)
Mn 0.249 0.000 0.750 (multiplicity 2)
Mn 0.498 0.249 0.254 (multiplicity 4)
Mn 0.498 0.249 0.750 (multiplicity 4)
O 0.121 0.374 0.256 (multiplicity 4)
O 0.121 0.377 0.747 (multiplicity 4)
O 0.124 0.125 0.260 (multiplicity 4)
O 0.124 0.125 0.744 (multiplicity 4)
O 0.246 0.500 0.999 (multiplicity 2)
O 0.247 0.500 0.505 (multiplicity 2)
O 0.249 0.000 0.502 (multiplicity 2)
O 0.252 0.000 0.002 (multiplicity 2)
O 0.373 0.375 0.744 (multiplicity 4)
O 0.374 0.373 0.258 (multiplicity 4)
O 0.375 0.123 0.257 (multiplicity 4)
O 0.375 0.123 0.747 (multiplicity 4)
O 0.498 0.246 0.002 (multiplicity 4)
O 0.498 0.249 0.502 (multiplicity 4)

Largest 10 diffraction maxima, by intensity, 2θ from 15° to 90°:
d (Å), I/Imax, (hkl)
2.718, 100, 4 0 0
1.922, 46, 4 4 0
1.569, 36, 4 0 4
1.359, 25, 8 0 0
1.215, 15, 8 4 0
2.219, 11, 0 4 2
1.110, 8, 8 0 4
3.438, 5, 2 2 -1
2.562, 3, 0 0 3
3.844, 3, 2 2 0

---

4.
Theoretical X-ray diffraction stick pattern of SrCaTiMnO6 for copper Kα, from a cell relaxed with PBE+U.
No peak broadening, texture or thermal motion is included.

Atomic structure:
Lattice parameters (Å, degrees): 3.868 3.885 7.742 90.00 90.00 90.00
Space group Pmm2 (No. 25)
Asymmetric unit:
Sr 0.000 0.000 0.000 (multiplicity 1)
Ca 0.000 0.000 0.515 (multiplicity 1)
Ti 0.500 0.500 0.260 (multiplicity 1)
Mn 0.500 0.500 0.752 (multiplicity 1)
O 0.000 0.500 0.254 (multiplicity 1)
O 0.000 0.500 0.741 (multiplicity 1)
O 0.500 0.000 0.253 (multiplicity 1)
O 0.500 0.000 0.738 (multiplicity 1)
O 0.500 0.500 0.504 (multiplicity 1)
O 0.500 0.500 0.994 (multiplicity 1)

Largest 10 diffraction maxima, by intensity, 2θ from 15° to 90°:
d (Å), I/Imax, (hkl)
2.740, 100, 1 1 0
1.935, 30, 2 0 0
1.581, 24, 2 1 2
1.371, 17, 2 2 0
1.943, 15, 0 2 0
2.237, 14, 1 1 2
1.584, 12, 1 2 2
1.368, 8, 2 0 4
1.119, 8, 2 2 4
1.224, 7, 3 1 0

---

5.
Theoretical X-ray diffraction stick pattern of SrCa3TiMn3O12 for copper Kα, from a cell relaxed with PBE+U.
No peak broadening, texture or thermal motion is included.

Atomic structure:
Lattice parameters (Å, degrees): 15.296 7.700 10.819 90.00 134.94 90.00
Space group Cm (No. 8)
Asymmetric unit:
Sr 0.000 0.250 0.000 (multiplicity 4)
Ca 0.009 0.249 0.509 (multiplicity 4)
Ca 0.251 0.249 0.507 (multiplicity 4)
Ca 0.252 0.252 0.996 (multiplicity 4)
Ti 0.255 0.000 0.255 (multiplicity 2)
Ti 0.255 0.500 0.256 (multiplicity 2)
Mn 0.002 0.000 0.253 (multiplicity 2)
Mn 0.002 0.000 0.751 (multiplicity 2)
Mn 0.002 0.500 0.253 (multiplicity 2)
Mn 0.002 0.500 0.751 (multiplicity 2)
Mn 0.250 0.500 0.749 (multiplicity 2)
Mn 0.251 0.000 0.752 (multiplicity 2)
O 0.000 0.250 0.743 (multiplicity 4)
O 0.001 0.250 0.255 (multiplicity 4)
O 0.125 0.000 0.501 (multiplicity 2)
O 0.125 0.000 0.749 (multiplicity 2)
O 0.125 0.000 0.996 (multiplicity 2)
O 0.125 0.500 0.501 (multiplicity 2)
O 0.125 0.500 0.749 (multiplicity 2)
O 0.126 0.000 0.254 (multiplicity 2)
O 0.126 0.500 0.254 (multiplicity 2)
O 0.126 0.500 0.996 (multiplicity 2)
O 0.247 0.250 0.747 (multiplicity 4)
O 0.252 0.250 0.251 (multiplicity 4)
O 0.371 0.500 0.001 (multiplicity 2)
O 0.373 0.000 0.002 (multiplicity 2)
O 0.373 0.000 0.744 (multiplicity 2)
O 0.373 0.500 0.745 (multiplicity 2)
O 0.378 0.000 0.504 (multiplicity 2)
O 0.379 0.000 0.253 (multiplicity 2)
O 0.379 0.500 0.253 (multiplicity 2)
O 0.379 0.500 0.504 (multiplicity 2)

Largest 10 diffraction maxima, by intensity, 2θ from 15° to 90°:
d (Å), I/Imax, (hkl)
2.714, 100, 0 2 2
2.706, 49, 4 0 0
1.913, 48, 0 0 4
1.564, 35, 4 2 2
1.357, 26, 0 4 4
1.925, 25, 0 4 0
1.569, 18, 4 4 0
2.214, 15, 4 2 0
1.353, 13, 8 0 0
1.107, 12, 8 4 0

---

6.
Theoretical X-ray diffraction stick pattern of Sr5Ca3Ti3Mn5O24 for copper Kα, from a cell relaxed with PBE+U.
No peak broadening, texture or thermal motion is included.

Atomic structure:
Lattice parameters (Å, degrees): 7.735 7.775 7.779 90.01 90.01 90.01
Space group P1 (No. 1)
Asymmetric unit:
Sr 0.000 0.000 0.000 (multiplicity 1)
Sr 0.000 0.000 0.497 (multiplicity 1)
Sr 0.000 0.497 0.497 (multiplicity 1)
Sr 0.492 0.000 0.000 (multiplicity 1)
Sr 0.492 0.000 0.497 (multiplicity 1)
Ca 0.002 0.497 0.000 (multiplicity 1)
Ca 0.490 0.497 0.000 (multiplicity 1)
Ca 0.491 0.497 0.497 (multiplicity 1)
Ti 0.745 0.251 0.750 (multiplicity 1)
Ti 0.745 0.746 0.248 (multiplicity 1)
Ti 0.745 0.747 0.749 (multiplicity 1)
Mn 0.246 0.250 0.749 (multiplicity 1)
Mn 0.246 0.747 0.248 (multiplicity 1)
Mn 0.246 0.747 0.749 (multiplicity 1)
Mn 0.247 0.250 0.248 (multiplicity 1)
Mn 0.745 0.250 0.248 (multiplicity 1)
O 0.246 0.254 0.999 (multiplicity 1)
O 0.246 0.743 0.999 (multiplicity 1)
O 0.246 0.999 0.248 (multiplicity 1)
O 0.246 0.999 0.749 (multiplicity 1)
O 0.249 0.252 0.499 (multiplicity 1)
O 0.249 0.498 0.751 (multiplicity 1)
O 0.249 0.499 0.246 (multiplicity 1)
O 0.249 0.745 0.498 (multiplicity 1)
O 0.493 0.253 0.749 (multiplicity 1)
O 0.493 0.744 0.749 (multiplicity 1)
O 0.493 0.745 0.248 (multiplicity 1)
O 0.497 0.254 0.249 (multiplicity 1)
O 0.744 0.251 0.496 (multiplicity 1)
O 0.744 0.495 0.247 (multiplicity 1)
O 0.744 0.746 0.498 (multiplicity 1)
O 0.745 0.498 0.750 (multiplicity 1)
O 0.746 0.002 0.248 (multiplicity 1)
O 0.746 0.253 0.002 (multiplicity 1)
O 0.746 0.745 0.999 (multiplicity 1)
O 0.746 0.999 0.749 (multiplicity 1)
O 0.996 0.252 0.246 (multiplicity 1)
O 0.999 0.251 0.751 (multiplicity 1)
O 0.999 0.746 0.247 (multiplicity 1)
O 0.999 0.746 0.751 (multiplicity 1)

Largest 10 diffraction maxima, by intensity, 2θ from 15° to 90°:
d (Å), I/Imax, (hkl)
2.745, 100, 2 0 2
1.944, 35, 0 0 4
1.586, 29, 2 4 2
2.742, 20, 2 2 0
1.371, 19, 4 0 4
1.934, 17, 4 0 0
2.241, 17, 2 2 2
1.582, 14, 4 2 2
1.229, 12, 2 0 6
1.375, 10, 0 4 4